Entry 1:
Cd: theoretical X-ray diffraction stick pattern (Cu Kα (λ = 1.5418 Å)), based on a cell relaxed with GGA-PBE.
Lines closer than 0.1° are merged.

The 9 most intense peaks (10 to 80 degrees two-theta), low angle first:
2θ/deg	I (rel.)	h k l
33.65	100	1 0 1
39.14	22	0 0 3
40.74	58	0 1 2
55.10	23	1 1 0
62.71	15	1 0 4
66.14	13	0 2 1
69.65	22	1 1 3
70.74	11	2 0 2
76.47	9	0 1 5

Crystal structure
Cell: 3.3335 3.3335 6.9043 Å, 90.00 90.00 120.00°
Space group R-3m (No. 166, hexagonal axes)
Symmetry-distinct sites (fractional):
Cd  0.0000  0.0000  0.0000

---

Entry 2:
Cd: theoretical X-ray diffraction stick pattern (Cu Kα (λ = 1.5418 Å)), based on a cell relaxed with GGA-PBE.
Lines closer than 0.1° are merged.

The 9 most intense peaks (10 to 80 degrees two-theta), low angle first:
2θ/deg	I (rel.)	h k l
33.28	23	1 0 0
34.42	28	0 0 2
37.60	100	1 0 1
48.62	16	1 0 2
59.46	17	1 1 0
63.76	20	1 0 3
69.87	3	2 0 0
70.55	19	1 1 2
72.53	16	0 0 4

Crystal structure
Cell: 3.1090 3.1090 5.2116 Å, 90.00 90.00 120.00°
Space group P6_3/mmc (No. 194)
Symmetry-distinct sites (fractional):
Cd  0.3333  0.6667  0.2500

---

Entry 3:
Cd: theoretical X-ray diffraction stick pattern (Cu Kα (λ = 1.5418 Å)), based on a cell relaxed with GGA-PBE.
Lines closer than 0.1° are merged.

The 10 most intense peaks (10 to 80 degrees two-theta), low angle first:
2θ/deg	I (rel.)	h k l
32.91	20	4 0 0
34.97	100	4 1 1
38.80	37	3 3 2
40.60	14	4 2 2
42.34	23	4 3 1
60.11	14	5 5 0
62.73	20	7 2 1
64.01	9	6 4 2
65.28	8	7 3 0
75.07	10	7 4 3

Crystal structure
Cell: 10.885 10.885 10.885 Å, 90.00 90.00 90.00°
Space group I-43m (No. 217)
Symmetry-distinct sites (fractional):
Cd  0.000  0.000  0.000
Cd  0.055  0.364  0.636
Cd  0.097  0.097  0.712
Cd  0.166  0.166  0.166

---

Entry 4:
Cd: theoretical X-ray diffraction stick pattern (Cu Kα (λ = 1.5418 Å)), based on a cell relaxed with GGA-PBE.
Lines closer than 0.1° are merged.

The 10 most intense peaks (10 to 80 degrees two-theta), low angle first:
2θ/deg	I (rel.)	h k l
28.65	18	2 1 1
33.20	25	2 2 0
35.28	84	2 2 1
37.26	52	3 1 0
39.15	100	3 1 1
40.97	17	2 2 2
60.68	15	4 3 0
62.01	28	5 1 0
67.19	18	5 2 1
77.03	16	5 3 2

Crystal structure
Cell: 7.631 7.631 7.631 Å, 90.00 90.00 90.00°
Space group P4_132 (No. 213)
Symmetry-distinct sites (fractional):
Cd  0.033  0.033  0.033
Cd  0.074  0.875  0.676

---

Entry 5:
Cd: theoretical X-ray diffraction stick pattern (Cu Kα (λ = 1.5418 Å)), based on a cell relaxed with GGA-PBE.
Lines closer than 0.1° are merged.

The 10 most intense peaks (10 to 80 degrees two-theta), low angle first:
2θ/deg	I (rel.)	h k l
31.08	22	0 2 0
34.07	15	1 1 0
34.87	40	0 0 2
35.76	44	0 2 1
38.42	100	1 1 1
47.41	13	0 2 2
57.24	17	1 3 0
64.89	20	1 1 3
67.62	10	0 4 1
68.80	19	1 3 2

Crystal structure
Cell: 2.959 5.754 5.145 Å, 90.00 90.00 90.00°
Space group Cmcm (No. 63)
Symmetry-distinct sites (fractional):
Cd  0.000  0.180  0.250

---

Entry 6:
Cd: theoretical X-ray diffraction stick pattern (Cu Kα (λ = 1.5418 Å)), based on a cell relaxed with GGA-PBE.
Lines closer than 0.1° are merged.

The 8 most intense peaks (10 to 80 degrees two-theta), low angle first:
2θ/deg	I (rel.)	h k l
34.97	100	1 0 1
39.58	18	0 0 2
41.11	32	1 1 0
58.39	21	1 1 2
59.54	10	2 0 0
68.84	13	1 0 3
70.96	23	2 1 1
73.88	10	2 0 2

Crystal structure
Cell: 3.105 3.105 4.554 Å, 90.00 90.00 90.00°
Space group I4/mmm (No. 139)
Symmetry-distinct sites (fractional):
Cd  0.000  0.000  0.000

---

Entry 7:
Cd: theoretical X-ray diffraction stick pattern (Cu Kα (λ = 1.5418 Å)), based on a cell relaxed with GGA-PBE.
Lines closer than 0.1° are merged.

The 4 most intense peaks (10 to 80 degrees two-theta), low angle first:
2θ/deg	I (rel.)	h k l
35.87	100	1 1 0
51.64	17	2 0 0
64.48	34	2 1 1
76.04	10	2 2 0

Crystal structure
Cell: 3.540 3.540 3.540 Å, 90.00 90.00 90.00°
Space group Im-3m (No. 229)
Symmetry-distinct sites (fractional):
Cd  0.000  0.000  0.000

---

Entry 8:
Cd: theoretical X-ray diffraction stick pattern (Cu Kα (λ = 1.5418 Å)), based on a cell relaxed with GGA-PBE.
Lines closer than 0.1° are merged.

The 9 most intense peaks (10 to 80 degrees two-theta), low angle first:
2θ/deg	I (rel.)	h k l
31.88	34	2 0 0
35.77	100	2 1 0
39.31	77	2 1 1
56.81	8	2 2 2
59.36	22	3 2 0
61.84	38	3 2 1
66.64	15	4 0 0
75.78	10	4 2 0
78.00	19	4 2 1

Crystal structure
Cell: 5.614 5.614 5.614 Å, 90.00 90.00 90.00°
Space group Pm-3n (No. 223)
Symmetry-distinct sites (fractional):
Cd  0.000  0.000  0.000
Cd  0.000  0.250  0.500

---

Question: What is the formula in the fourth record?
Answer: Cd